Structure and simulated powder diffractogram of La4PrS4 (a DFT-relaxed cell (PBE, Alexandria); Cu Kα (weighted mean of Kα1 and Kα2)).

Cell and atoms:
Unit cell a=7.144 b=7.144 c=9.212 alpha=130.13 beta=130.13 gamma=48.43
Atoms (fractional coordinates):
La1 0.103 0.103 0.406
La2 0.303 0.303 0.200
La3 0.697 0.697 0.800
La4 0.897 0.897 0.594
Pr1 0.500 0.500 0.000
S1 0.200 0.200 0.799
S2 0.401 0.401 0.600
S3 0.599 0.599 0.400
S4 0.800 0.800 0.201

Top 8 peaks for 15° ≤ 2θ ≤ 90°, low angle first:
| 2θ (°) | I/Imax |
| --- | --- |
| 26.44 | 100 |
| 30.50 | 39 |
| 30.68 | 76 |
| 43.81 | 56 |
| 43.94 | 28 |
| 52.01 | 33 |
| 54.43 | 29 |
| 80.68 | 18 |

Structure and simulated powder diffractogram of Cs6SBr (a DFT-relaxed cell (PBE, Alexandria); Cu Kα (weighted mean of Kα1 and Kα2)).

Cell and atoms:
Unit cell a=8.930 b=16.757 c=8.906 alpha=90.00 beta=108.06 gamma=90.00
Atoms (fractional coordinates):
Cs1 0.228 0.141 0.236
Cs2 0.228 0.859 0.236
Cs3 0.240 0.000 0.768
Cs4 0.260 0.500 0.232
Cs5 0.272 0.359 0.764
Cs6 0.272 0.641 0.764
Cs7 0.728 0.359 0.236
Cs8 0.728 0.641 0.236
Cs9 0.740 0.500 0.768
Cs10 0.760 0.000 0.232
Cs11 0.772 0.141 0.764
Cs12 0.772 0.859 0.764
S1 0.000 0.000 0.000
S2 0.500 0.500 0.000
Br1 0.000 0.500 0.500
Br2 0.500 0.000 0.500

Top 8 peaks for 15° ≤ 2θ ≤ 90°, low angle first:
| 2θ (°) | I/Imax |
| --- | --- |
| 20.10 | 74 |
| 20.96 | 80 |
| 23.28 | 100 |
| 24.67 | 49 |
| 31.70 | 20 |
| 34.19 | 89 |
| 40.02 | 21 |
| 40.85 | 25 |

Structure and simulated powder diffractogram of PmHo3Bi2 (a DFT-relaxed cell (PBE, Alexandria); Cu Kα (weighted mean of Kα1 and Kα2)).

Cell and atoms:
Unit cell a=9.613 b=9.613 c=9.946 alpha=112.92 beta=112.92 gamma=26.19
Atoms (fractional coordinates):
Pm1 0.111 0.111 0.117
Pm2 0.889 0.889 0.883
Ho1 0.057 0.057 0.671
Ho2 0.312 0.312 0.110
Ho3 0.361 0.361 0.522
Ho4 0.639 0.639 0.478
Ho5 0.688 0.688 0.890
Ho6 0.943 0.943 0.329
Bi1 0.248 0.248 0.712
Bi2 0.489 0.489 0.157
Bi3 0.511 0.511 0.843
Bi4 0.752 0.752 0.288

Top 8 peaks for 15° ≤ 2θ ≤ 90°, low angle first:
| 2θ (°) | I/Imax |
| --- | --- |
| 28.35 | 48 |
| 30.23 | 66 |
| 31.51 | 100 |
| 33.35 | 51 |
| 33.94 | 46 |
| 34.63 | 86 |
| 41.45 | 54 |
| 60.88 | 41 |

Structure and simulated powder diffractogram of CaLa3Y8 (a DFT-relaxed cell (PBE, Alexandria); Cu Kα (weighted mean of Kα1 and Kα2)).

Cell and atoms:
Unit cell a=8.625 b=8.625 c=8.625 alpha=118.32 beta=118.32 gamma=92.93
Atoms (fractional coordinates):
Ca1 0.000 0.000 0.000
La1 0.250 0.750 0.500
La2 0.500 0.500 0.000
La3 0.750 0.250 0.500
Y1 0.140 0.140 0.732
Y2 0.227 0.689 0.000
Y3 0.311 0.311 0.537
Y4 0.407 0.407 0.268
Y5 0.593 0.860 0.000
Y6 0.689 0.227 0.000
Y7 0.773 0.773 0.463
Y8 0.860 0.593 0.000

Top 8 peaks for 15° ≤ 2θ ≤ 90°, low angle first:
| 2θ (°) | I/Imax |
| --- | --- |
| 20.62 | 48 |
| 23.71 | 41 |
| 25.11 | 37 |
| 28.55 | 65 |
| 30.08 | 39 |
| 31.99 | 43 |
| 35.48 | 100 |
| 56.99 | 34 |

Structure and simulated powder diffractogram of AcPm2Hg (a DFT-relaxed cell (PBE, Alexandria); Cu Kα (weighted mean of Kα1 and Kα2)).

Cell and atoms:
Unit cell a=3.835 b=3.835 c=8.969 alpha=90.00 beta=90.00 gamma=90.00
Atoms (fractional coordinates):
Ac1 0.000 0.000 0.000
Pm1 0.500 0.500 0.290
Pm2 0.500 0.500 0.710
Hg1 0.000 0.000 0.500

Top 8 peaks for 15° ≤ 2θ ≤ 90°, low angle first:
| 2θ (°) | I/Imax |
| --- | --- |
| 30.68 | 100 |
| 33.03 | 46 |
| 40.22 | 9 |
| 47.42 | 17 |
| 52.99 | 16 |
| 57.54 | 34 |
| 63.88 | 9 |
| 78.95 | 8 |

Structure and simulated powder diffractogram of KNaCa2Cl6 (a DFT-relaxed cell (PBE, Alexandria); Cu Kα (weighted mean of Kα1 and Kα2)).

Cell and atoms:
Unit cell a=7.603 b=7.603 c=7.603 alpha=57.08 beta=57.08 gamma=57.08
Atoms (fractional coordinates):
K1 0.000 0.000 0.000
Na1 0.516 0.516 0.516
Ca1 0.213 0.213 0.213
Ca2 0.721 0.721 0.721
Cl1 0.097 0.449 0.834
Cl2 0.374 0.941 0.558
Cl3 0.449 0.834 0.097
Cl4 0.558 0.374 0.941
Cl5 0.834 0.097 0.449
Cl6 0.941 0.558 0.374

Top 8 peaks for 15° ≤ 2θ ≤ 90°, low angle first:
| 2θ (°) | I/Imax |
| --- | --- |
| 16.90 | 44 |
| 23.45 | 28 |
| 28.31 | 100 |
| 34.17 | 52 |
| 37.66 | 61 |
| 42.50 | 21 |
| 43.13 | 44 |
| 49.92 | 18 |

Structure and simulated powder diffractogram of Ba2CdH6Au2 (a DFT-relaxed cell (PBE, Alexandria); Cu Kα (weighted mean of Kα1 and Kα2)).

Cell and atoms:
Unit cell a=6.035 b=6.035 c=7.593 alpha=114.73 beta=114.73 gamma=49.38
Atoms (fractional coordinates):
Ba1 0.191 0.191 0.213
Ba2 0.809 0.809 0.787
Cd1 0.000 0.000 0.500
H1 0.165 0.686 0.155
H2 0.303 0.303 0.628
H3 0.314 0.835 0.845
H4 0.686 0.165 0.155
H5 0.697 0.697 0.372
H6 0.835 0.314 0.845
Au1 0.483 0.483 0.689
Au2 0.517 0.517 0.311

Top 8 peaks for 15° ≤ 2θ ≤ 90°, low angle first:
| 2θ (°) | I/Imax |
| --- | --- |
| 18.22 | 51 |
| 21.38 | 48 |
| 27.09 | 64 |
| 29.61 | 71 |
| 32.83 | 81 |
| 33.30 | 100 |
| 35.61 | 63 |
| 40.95 | 76 |

Structure and simulated powder diffractogram of LiPr3Pd2 (a DFT-relaxed cell (PBE, Alexandria); Cu Kα (weighted mean of Kα1 and Kα2)).

Cell and atoms:
Unit cell a=8.398 b=8.398 c=8.398 alpha=132.41 beta=74.85 gamma=125.94
Atoms (fractional coordinates):
Li1 0.000 0.000 0.000
Li2 0.500 0.500 0.000
Pr1 0.038 0.250 0.788
Pr2 0.250 0.750 0.500
Pr3 0.462 0.250 0.212
Pr4 0.538 0.750 0.788
Pr5 0.750 0.250 0.500
Pr6 0.962 0.750 0.212
Pd1 0.140 0.696 0.836
Pd2 0.360 0.196 0.555
Pd3 0.640 0.804 0.445
Pd4 0.860 0.304 0.164

Top 8 peaks for 15° ≤ 2θ ≤ 90°, low angle first:
| 2θ (°) | I/Imax |
| --- | --- |
| 22.03 | 76 |
| 23.94 | 51 |
| 33.65 | 100 |
| 35.42 | 95 |
| 35.75 | 67 |
| 37.85 | 49 |
| 45.02 | 36 |
| 69.02 | 29 |

Structure and simulated powder diffractogram of Ho8Pb2C (a DFT-relaxed cell (PBE, Alexandria); Cu Kα (weighted mean of Kα1 and Kα2)).

Cell and atoms:
Unit cell a=9.204 b=9.204 c=6.503 alpha=108.77 beta=108.77 gamma=35.23
Atoms (fractional coordinates):
Ho1 0.008 0.008 0.266
Ho2 0.203 0.203 0.729
Ho3 0.384 0.384 0.598
Ho4 0.409 0.409 0.134
Ho5 0.591 0.591 0.866
Ho6 0.616 0.616 0.402
Ho7 0.797 0.797 0.271
Ho8 0.992 0.992 0.734
Pb1 0.190 0.190 0.203
Pb2 0.810 0.810 0.797
C1 0.500 0.500 0.500

Top 8 peaks for 15° ≤ 2θ ≤ 90°, low angle first:
| 2θ (°) | I/Imax |
| --- | --- |
| 29.18 | 19 |
| 29.90 | 38 |
| 31.49 | 100 |
| 32.13 | 54 |
| 35.46 | 45 |
| 36.37 | 28 |
| 44.46 | 22 |
| 56.88 | 19 |

Structure and simulated powder diffractogram of Er3Co6Si2 (a DFT-relaxed cell (PBE, Alexandria); Cu Kα (weighted mean of Kα1 and Kα2)).

Cell and atoms:
Unit cell a=7.509 b=7.509 c=7.509 alpha=109.47 beta=109.47 gamma=109.47
Atoms (fractional coordinates):
Er1 0.000 0.285 0.285
Er2 0.000 0.715 0.715
Er3 0.285 0.000 0.285
Er4 0.285 0.285 0.000
Er5 0.715 0.000 0.715
Er6 0.715 0.715 0.000
Co1 0.000 0.336 0.664
Co2 0.000 0.664 0.336
Co3 0.328 0.664 0.664
Co4 0.336 0.000 0.664
Co5 0.336 0.336 0.672
Co6 0.336 0.664 0.000
Co7 0.336 0.672 0.336
Co8 0.664 0.000 0.336
Co9 0.664 0.328 0.664
Co10 0.664 0.336 0.000
Co11 0.664 0.664 0.328
Co12 0.672 0.336 0.336
Si1 0.000 0.000 0.500
Si2 0.000 0.500 0.000
Si3 0.500 0.000 0.000
Si4 0.500 0.500 0.500

Top 8 peaks for 15° ≤ 2θ ≤ 90°, low angle first:
| 2θ (°) | I/Imax |
| --- | --- |
| 25.16 | 25 |
| 32.66 | 41 |
| 35.88 | 37 |
| 38.86 | 31 |
| 41.66 | 23 |
| 44.32 | 100 |
| 58.28 | 20 |
| 81.59 | 24 |

Structure and simulated powder diffractogram of CaMgPH (a DFT-relaxed cell (PBE, Alexandria); Cu Kα (weighted mean of Kα1 and Kα2)).

Cell and atoms:
Unit cell a=4.261 b=4.261 c=4.321 alpha=90.00 beta=90.00 gamma=120.00
Atoms (fractional coordinates):
Ca1 0.000 0.000 0.000
Mg1 0.667 0.333 0.501
P1 0.333 0.667 0.498
H1 0.667 0.333 0.999

Top 8 peaks for 15° ≤ 2θ ≤ 90°, low angle first:
| 2θ (°) | I/Imax |
| --- | --- |
| 31.89 | 100 |
| 41.82 | 15 |
| 42.43 | 44 |
| 54.05 | 20 |
| 61.09 | 27 |
| 70.15 | 9 |
| 71.02 | 17 |
| 77.63 | 6 |

Structure and simulated powder diffractogram of CaYPdO4 (a DFT-relaxed cell (PBE, Alexandria); Cu Kα (weighted mean of Kα1 and Kα2)).

Cell and atoms:
Unit cell a=6.397 b=6.397 c=6.397 alpha=113.82 beta=110.23 gamma=104.50
Atoms (fractional coordinates):
Ca1 0.433 0.183 0.250
Ca2 0.567 0.817 0.750
Y1 0.000 0.000 0.500
Y2 0.000 0.500 0.000
Pd1 0.000 0.500 0.500
Pd2 0.500 0.500 0.000
O1 0.190 0.242 0.948
O2 0.206 0.758 0.448
O3 0.289 0.349 0.560
O4 0.289 0.729 0.940
O5 0.711 0.271 0.060
O6 0.711 0.651 0.440
O7 0.794 0.242 0.552
O8 0.810 0.758 0.052

Top 8 peaks for 15° ≤ 2θ ≤ 90°, low angle first:
| 2θ (°) | I/Imax |
| --- | --- |
| 16.58 | 30 |
| 17.01 | 100 |
| 29.83 | 61 |
| 30.57 | 58 |
| 33.52 | 52 |
| 35.53 | 65 |
| 36.75 | 36 |
| 59.75 | 37 |

Structure and simulated powder diffractogram of BaTaF7 (a DFT-relaxed cell (PBE, Alexandria); Cu Kα (weighted mean of Kα1 and Kα2)).

Cell and atoms:
Unit cell a=4.985 b=10.249 c=12.777 alpha=90.00 beta=101.09 gamma=90.00
Atoms (fractional coordinates):
Ba1 0.240 0.167 0.492
Ba2 0.240 0.333 0.992
Ba3 0.760 0.667 0.008
Ba4 0.760 0.833 0.508
Ta1 0.346 0.526 0.682
Ta2 0.346 0.974 0.182
Ta3 0.654 0.026 0.818
Ta4 0.654 0.474 0.318
F1 0.050 0.650 0.664
F2 0.050 0.850 0.164
F3 0.132 0.093 0.082
F4 0.132 0.407 0.582
F5 0.211 0.060 0.296
F6 0.211 0.440 0.796
F7 0.255 0.588 0.009
F8 0.255 0.912 0.509
F9 0.360 0.594 0.311
F10 0.360 0.906 0.811
F11 0.432 0.132 0.710
F12 0.432 0.368 0.210
F13 0.473 0.622 0.571
F14 0.473 0.878 0.071
F15 0.527 0.122 0.929
F16 0.527 0.378 0.429
F17 0.568 0.632 0.790
F18 0.568 0.868 0.290
F19 0.640 0.094 0.189
F20 0.640 0.406 0.689
F21 0.745 0.088 0.491
F22 0.745 0.412 0.991
F23 0.789 0.560 0.204
F24 0.789 0.940 0.704
F25 0.868 0.593 0.418
F26 0.868 0.907 0.918
F27 0.950 0.150 0.836
F28 0.950 0.350 0.336

Top 8 peaks for 15° ≤ 2θ ≤ 90°, low angle first:
| 2θ (°) | I/Imax |
| --- | --- |
| 20.12 | 34 |
| 20.77 | 31 |
| 22.45 | 100 |
| 22.98 | 90 |
| 25.18 | 41 |
| 27.06 | 35 |
| 27.16 | 26 |
| 41.08 | 30 |